This entry pairs a crystal structure of Sm12Dy3Mg with its simulated powder XRD pattern. Radiation: Cu Kα. Structure: a structure optimized by DFT (PBE).

Cell and atoms:
abc: 5.0697 5.0697 20.3640
angles: 90.00 90.00 90.00
Space group P4/mmm (No. 123)
Inequivalent atoms, fractional coordinates:
Sm1 0.0000 0.0000 0.0000 (multiplicity 1)
Sm2 0.0000 0.0000 0.2463 (multiplicity 2)
Sm3 0.0000 0.0000 0.5000 (multiplicity 1)
Sm4 0.0000 0.5000 0.1230 (multiplicity 4)
Sm5 0.0000 0.5000 0.3741 (multiplicity 4)
Dy1 0.5000 0.5000 0.2480 (multiplicity 2)
Dy2 0.5000 0.5000 0.5000 (multiplicity 1)
Mg1 0.5000 0.5000 0.0000 (multiplicity 1)

Principal peaks in the range 10° ≤ 2θ ≤ 90°, in order of falling intensity:
| d (Å) | 2theta | I/Imax | hkl |
| --- | --- | --- | --- |
| 2.931 | 30.50 | 100 | 1 1 4 |
| 2.535 | 35.41 | 34 | 2 0 0 |
| 1.529 | 60.55 | 28 | 3 1 4 |
| 1.796 | 50.83 | 24 | 2 0 8 |
| 2.545 | 35.26 | 17 | 0 0 8 |
| 1.534 | 60.35 | 14 | 1 1 12 |